This entry pairs a crystal structure of Ac4Bi8Rh3 with its theoretical powder XRD pattern. Radiation: Cu Ka. Structure: DFT lattice parameters and positions (PBE).
Lines closer than 0.1° are merged.

Principal peaks in the range 10 to 90 degrees two-theta, low angle first:
Position (°2θ), I_rel, (hkl)
25.54, 16, 1 0 4
26.09, 20, 0 0 6
27.90, 41, 1 1 2
31.81, 100, 1 1 4
32.26, 36, 1 0 6
37.80, 58, 2 0 0
46.50, 17, 2 0 6
50.52, 21, 2 1 6
54.53, 21, 2 2 0
64.52, 27, 3 1 4

Structure:
```
Ac4Bi8Rh3
1.0
4.760 0.000 0.000
0.000 4.760 0.000
0.000 0.000 20.495
Ac Bi Rh
4 8 3
Direct
0.000 0.500 0.115 Ac
0.000 0.500 0.618 Ac
0.500 0.000 0.382 Ac
0.500 0.000 0.885 Ac
0.000 0.000 0.249 Bi
0.000 0.000 0.751 Bi
0.000 0.500 0.429 Bi
0.000 0.500 0.936 Bi
0.500 0.000 0.064 Bi
0.500 0.000 0.571 Bi
0.500 0.500 0.249 Bi
0.500 0.500 0.751 Bi
0.000 0.000 0.000 Rh
0.000 0.000 0.500 Rh
0.500 0.500 0.500 Rh
```